Diffraction record for Na2ZrInP3O12. The XRD peak list is computed, not measured: it uses a cell relaxed with PBE and Cu Ka.
Kinematic intensities with the Lorentz-polarization factor, no thermal factor.

```
data_Na2ZrInP3O12
_chemical_formula_sum 'Na8 Zr4 In4 P12 O48'
_cell_length_a 15.697
_cell_length_b 8.982
_cell_length_c 9.331
_cell_angle_alpha 90.00
_cell_angle_beta 124.13
_cell_angle_gamma 90.00
_space_group_name_H-M_alt 'C 1 c 1'
_space_group_IT_number 9
_space_group_name_Hall 'C -2yc'
loop_
_atom_site_label
_atom_site_fract_x
_atom_site_fract_y
_atom_site_fract_z
_atom_site_occupancy
Na1 0.000 0.113 0.000 1
Na2 0.254 0.249 0.256 1
Zr1 0.107 0.255 0.804 1
In1 0.398 0.245 0.696 1
P1 0.147 0.106 0.491 1
P2 0.357 0.397 0.000 1
P3 0.499 0.045 0.495 1
O1 0.052 0.168 0.324 1
O2 0.067 0.445 0.657 1
O3 0.076 0.354 0.980 1
O4 0.139 0.134 0.650 1
O5 0.146 0.069 0.979 1
O6 0.242 0.172 0.511 1
O7 0.260 0.324 0.979 1
O8 0.354 0.432 0.516 1
O9 0.360 0.375 0.841 1
O10 0.429 0.152 0.513 1
O11 0.431 0.047 0.832 1
O12 0.453 0.328 0.165 1
```

Top 10 peaks for 10 to 80 degrees two-theta, most intense first:
2θ = 30.4°, I 100
2θ = 19.1°, I 95
2θ = 19.6°, I 67
2θ = 22.8°, I 45
2θ = 13.7°, I 42
2θ = 34.5°, I 41
2θ = 27.6°, I 40
2θ = 19.8°, I 39
2θ = 30.5°, I 38
2θ = 46.5°, I 29